Starting from a structure optimized by DFT (GGA-PBE), the X-ray diffraction stick pattern of CaHf2Re2 was simulated for Cu Kα.
Lines closer than 0.1° are merged.

Structural model:
a = 8.0371 Å, b = 8.0371 Å, c = 3.1574 Å
α = 90.00°, β = 90.00°, γ = 90.00°
Element x y z (fractional)
Ca 0.0000 0.0000 0.0000
Ca 0.5000 0.5000 0.0000
Hf 0.1435 0.3565 0.5000
Hf 0.3565 0.8565 0.5000
Hf 0.6435 0.1435 0.5000
Hf 0.8565 0.6435 0.5000
Re 0.1471 0.6471 0.0000
Re 0.3529 0.1471 0.0000
Re 0.6471 0.8529 0.0000
Re 0.8529 0.3529 0.0000

Principal peaks in the range 15° ≤ 2θ ≤ 90°, by angle:
(1 1 0), d 5.683, rel. 36; (3 1 0), d 2.542, rel. 40; (2 1 1), d 2.372, rel. 100; (4 0 0), d 2.009, rel. 17; (3 3 0), d 1.894, rel. 14; (3 2 1), d 1.821, rel. 11; (4 1 1), d 1.659, rel. 9; (0 0 2), d 1.579, rel. 7; (5 2 1), d 1.349, rel. 27; (6 0 0), d 1.341, rel. 15; (4 0 2), d 1.241, rel. 7; (6 1 1), d 1.219, rel. 7